Record 1
Simulated XRD peak list
Compound: Hf5BiSb
Radiation: Cu Kα X-rays
Structure: the GGA-PBE geometry in Alexandria
Intensities are scaled so that the largest is 100.

Atomic structure:
```
14
Lattice="3.808 -3.947 0.000 3.808 3.947 0.000 -3.441 0.000 10.857" Properties=species:S:1:pos:R:3 pbc="T T T"
Hf 1.727 1.933 1.487
Hf 1.227 3.597 8.143
Hf 1.235 1.015 4.735
Hf 4.167 1.933 3.941
Hf -0.485 -1.015 10.163
Hf 4.660 1.015 0.694
Hf 0.007 -1.933 6.916
Hf 2.939 -1.015 6.122
Hf 2.947 -3.597 2.714
Hf 2.447 -1.933 9.370
Bi 1.227 0.635 8.143
Bi 2.947 -0.635 2.714
Sb 0.000 0.000 0.000
Sb -1.720 0.000 5.429
```

Top 12 peaks for 15° ≤ 2θ ≤ 90°, by angle:
| d_spacing | intensity |
| --- | --- |
| 2.740 | 28 |
| 2.728 | 72 |
| 2.670 | 100 |
| 2.579 | 90 |
| 2.469 | 81 |
| 2.409 | 50 |
| 2.236 | 43 |
| 2.148 | 32 |
| 1.620 | 13 |
| 1.587 | 26 |
| 1.557 | 17 |
| 1.336 | 16 |


Record 2
Simulated XRD peak list
Compound: Pb3W3N5
Radiation: Cu Kα X-rays
Structure: the GGA-PBE geometry in Alexandria
Intensities are scaled so that the largest is 100.

Atomic structure:
```
22
Lattice="6.207 0.000 0.000 -1.519 7.930 0.000 -1.001 -3.037 8.130" Properties=species:S:1:pos:R:3 pbc="T T T"
Pb -0.753 1.217 3.144
Pb -0.576 -0.981 5.878
Pb 0.060 7.489 0.091
Pb 3.627 -2.596 8.039
Pb 4.263 5.874 2.252
Pb 4.440 3.676 4.987
W 0.051 3.509 0.961
W 0.956 4.995 3.819
W 0.995 2.300 6.489
W 2.692 2.594 1.641
W 2.731 -0.102 4.311
W 3.637 1.385 7.169
N -0.570 1.653 7.503
N 1.299 -1.284 3.826
N 1.338 2.063 0.421
N 0.815 3.646 5.143
N 1.643 4.130 2.237
N 2.044 0.763 5.894
N 2.873 1.247 2.987
N 2.350 2.830 7.709
N 2.388 6.177 4.305
N 4.258 3.240 0.628
```

Top 12 peaks for 15° ≤ 2θ ≤ 90°, by angle:
| d_spacing | intensity |
| --- | --- |
| 3.566 | 31 |
| 3.370 | 38 |
| 3.004 | 100 |
| 2.893 | 56 |
| 2.880 | 53 |
| 2.664 | 41 |
| 2.653 | 21 |
| 2.609 | 32 |
| 2.595 | 21 |
| 2.572 | 17 |
| 2.501 | 16 |
| 1.763 | 15 |


Record 3
Simulated XRD peak list
Compound: KCd2I4
Radiation: Cu Kα X-rays
Structure: the GGA-PBE geometry in Alexandria
Intensities are scaled so that the largest is 100.

Atomic structure:
```
14
Lattice="9.241 0.000 0.000 0.000 9.241 0.000 0.000 0.000 7.637" Properties=species:S:1:pos:R:3 pbc="T T T"
K 0.000 0.000 0.000
K 4.621 4.621 3.818
Cd 0.000 4.621 1.909
Cd 0.000 4.621 5.728
Cd 4.621 0.000 1.909
Cd 4.621 0.000 5.728
I 1.524 6.333 3.818
I 1.713 3.097 0.000
I 2.908 1.524 3.818
I 3.097 7.529 0.000
I 6.145 1.713 0.000
I 6.333 7.717 3.818
I 7.529 6.145 0.000
I 7.717 2.908 3.818
```

Top 12 peaks for 15° ≤ 2θ ≤ 90°, by angle:
| d_spacing | intensity |
| --- | --- |
| 3.818 | 10 |
| 3.635 | 100 |
| 3.267 | 27 |
| 2.943 | 49 |
| 2.321 | 53 |
| 2.178 | 20 |
| 2.167 | 24 |
| 2.151 | 29 |
| 2.066 | 11 |
| 1.682 | 13 |
| 1.464 | 18 |
| 1.436 | 10 |


Please write out number 2 again, unchanged.
Simulated XRD peak list
Compound: Pb3W3N5
Radiation: Cu Kα X-rays
Structure: the GGA-PBE geometry in Alexandria
Intensities are scaled so that the largest is 100.

Atomic structure:
```
22
Lattice="6.207 0.000 0.000 -1.519 7.930 0.000 -1.001 -3.037 8.130" Properties=species:S:1:pos:R:3 pbc="T T T"
Pb -0.753 1.217 3.144
Pb -0.576 -0.981 5.878
Pb 0.060 7.489 0.091
Pb 3.627 -2.596 8.039
Pb 4.263 5.874 2.252
Pb 4.440 3.676 4.987
W 0.051 3.509 0.961
W 0.956 4.995 3.819
W 0.995 2.300 6.489
W 2.692 2.594 1.641
W 2.731 -0.102 4.311
W 3.637 1.385 7.169
N -0.570 1.653 7.503
N 1.299 -1.284 3.826
N 1.338 2.063 0.421
N 0.815 3.646 5.143
N 1.643 4.130 2.237
N 2.044 0.763 5.894
N 2.873 1.247 2.987
N 2.350 2.830 7.709
N 2.388 6.177 4.305
N 4.258 3.240 0.628
```

Top 12 peaks for 15° ≤ 2θ ≤ 90°, by angle:
| d_spacing | intensity |
| --- | --- |
| 3.566 | 31 |
| 3.370 | 38 |
| 3.004 | 100 |
| 2.893 | 56 |
| 2.880 | 53 |
| 2.664 | 41 |
| 2.653 | 21 |
| 2.609 | 32 |
| 2.595 | 21 |
| 2.572 | 17 |
| 2.501 | 16 |
| 1.763 | 15 |